[1]
Diffraction record for Ag5Pb2Se6. The powder diffraction line list is simulated, not measured: it uses a structure optimized by DFT (PBE) and Cu Kα (λ = 1.5418 Å).

Largest 10 diffraction maxima, in order of rising 2θ, 10 to 80 degrees two-theta:
two_theta  Rel. int.
26.89  100
27.17  65
28.02  18
30.39  46
42.58  35
43.13  31
44.27  28
44.45  37
45.53  25
55.43  19

Atomic structure:
```
data_Ag5Pb2Se6
_chemical_formula_sum 'Ag5 Pb2 Se6'
_symmetry_space_group_name_H-M 'P 1'
_symmetry_Int_Tables_number 1
_cell_length_a 7.3551
_cell_length_b 7.3551
_cell_length_c 7.6609
_cell_angle_alpha 90.00
_cell_angle_beta 90.00
_cell_angle_gamma 120.00
loop_
_symmetry_equiv_pos_as_xyz
'x,y,z'
loop_
_atom_site_label
_atom_site_fract_x
_atom_site_fract_y
_atom_site_fract_z
_atom_site_occupancy
Ag1 0.0000 0.0000 0.2306 1
Ag2 0.0000 0.0000 0.7694 1
Ag3 0.0000 0.5000 0.5000 1
Ag4 0.5000 0.0000 0.5000 1
Ag5 0.5000 0.5000 0.5000 1
Pb1 0.3333 0.6667 0.0000 1
Pb2 0.6667 0.3333 0.0000 1
Se1 0.0000 0.3448 0.7867 1
Se2 0.0000 0.6552 0.2133 1
Se3 0.3448 0.0000 0.7867 1
Se4 0.3448 0.3448 0.2133 1
Se5 0.6552 0.0000 0.2133 1
Se6 0.6552 0.6552 0.7867 1
```

***

[2]
Diffraction record for TmAgPbSe3. The powder diffraction line list is simulated, not measured: it uses a structure optimized by DFT (PBE) and Cu Kα (λ = 1.5418 Å).

Largest 10 diffraction maxima, in order of rising 2θ, 10 to 80 degrees two-theta:
two_theta  Rel. int.
26.69  26
30.04  23
30.13  100
30.62  31
36.80  17
37.17  16
41.75  21
43.22  23
44.49  24
48.41  15

Atomic structure:
```
data_TmAgPbSe3
_chemical_formula_sum 'Tm2 Ag2 Pb2 Se6'
_symmetry_space_group_name_H-M 'P 1'
_symmetry_Int_Tables_number 1
_cell_length_a 9.2155
_cell_length_b 9.2155
_cell_length_c 8.6552
_cell_angle_alpha 102.59
_cell_angle_beta 102.59
_cell_angle_gamma 25.53
loop_
_symmetry_equiv_pos_as_xyz
'x,y,z'
loop_
_atom_site_label
_atom_site_fract_x
_atom_site_fract_y
_atom_site_fract_z
_atom_site_occupancy
Tm1 0.1649 0.1649 0.0889 1
Tm2 0.8351 0.8351 0.9111 1
Ag1 0.4697 0.4697 0.7869 1
Ag2 0.5303 0.5303 0.2131 1
Pb1 0.1324 0.1324 0.5743 1
Pb2 0.8676 0.8676 0.4257 1
Se1 0.0000 0.0000 0.0000 1
Se2 0.3154 0.3154 0.6751 1
Se3 0.3277 0.3277 0.1378 1
Se4 0.5000 0.5000 0.5000 1
Se5 0.6723 0.6723 0.8622 1
Se6 0.6846 0.6846 0.3249 1
```